No. 1
HoCdSeO5: simulated powder X-ray diffraction pattern (Cu Kα, 1.54184 Å), based on a DFT-relaxed cell (PBE, Alexandria).
No peak broadening, texture or thermal motion is included.

Peak list (10 most intense, 2θ from 5° to 70°, in order of rising 2θ)
2θ 23.65, d = 3.762 Å, intensity 100; 2θ 24.95, d = 3.568 Å, intensity 95; 2θ 31.98, d = 2.799 Å, intensity 38; 2θ 32.30, d = 2.772 Å, intensity 31; 2θ 32.97, d = 2.717 Å, intensity 73; 2θ 34.35, d = 2.611 Å, intensity 25; 2θ 34.95, d = 2.567 Å, intensity 26; 2θ 48.35, d = 1.882 Å, intensity 28; 2θ 49.29, d = 1.849 Å, intensity 28; 2θ 51.23, d = 1.783 Å, intensity 26

Structural model:
```
HoCdSeO5
1.0
4.0972 -4.4076 0.0000
4.0972 4.4076 0.0000
-4.0888 0.0000 7.2460
Ho Cd Se O
2 2 2 10
Direct
0.0000 0.0000 0.0000
0.0000 0.0000 0.5000
0.3107 0.6893 0.7500
0.6893 0.3107 0.2500
0.3356 0.6644 0.2500
0.6644 0.3356 0.7500
0.0718 0.9282 0.7500
0.2248 0.7087 0.4397
0.2913 0.7752 0.0603
0.2943 0.3530 0.1435
0.3530 0.2943 0.6435
0.6470 0.7057 0.3565
0.7057 0.6470 0.8565
0.7087 0.2248 0.9397
0.7752 0.2913 0.5603
0.9282 0.0718 0.2500
```

No. 2
Ho3CdOs: simulated powder X-ray diffraction pattern (Cu Kα, 1.54184 Å), based on a DFT-relaxed cell (PBE, Alexandria).
No peak broadening, texture or thermal motion is included.

Peak list (10 most intense, 2θ from 5° to 70°, in order of rising 2θ)
2θ 10.97, d = 8.062 Å, intensity 39; 2θ 31.53, d = 2.838 Å, intensity 59; 2θ 32.37, d = 2.766 Å, intensity 55; 2θ 35.19, d = 2.551 Å, intensity 100; 2θ 35.33, d = 2.540 Å, intensity 28; 2θ 35.57, d = 2.524 Å, intensity 66; 2θ 37.24, d = 2.415 Å, intensity 23; 2θ 38.33, d = 2.348 Å, intensity 40; 2θ 40.32, d = 2.237 Å, intensity 43; 2θ 57.40, d = 1.605 Å, intensity 27

Structural model:
```
Ho3CdOs
1.0
0.0000 4.8293 8.0621
3.2365 0.0000 8.0621
3.2365 4.8293 0.0000
Ho Cd Os
6 2 2
Direct
0.1995 0.5786 0.4214
0.2014 0.2014 0.7986
0.4214 0.8005 0.1995
0.5786 0.1995 0.8005
0.7986 0.7986 0.2014
0.8005 0.4214 0.5786
0.2090 0.7910 0.7910
0.7910 0.2090 0.2090
0.2500 0.2500 0.2500
0.7500 0.7500 0.7500
```

No. 3
HoPaCd: simulated powder X-ray diffraction pattern (Cu Kα, 1.54184 Å), based on a DFT-relaxed cell (PBE, Alexandria).
No peak broadening, texture or thermal motion is included.

Peak list (10 most intense, 2θ from 5° to 70°, in order of rising 2θ)
2θ 22.40, d = 3.970 Å, intensity 30; 2θ 24.39, d = 3.649 Å, intensity 52; 2θ 31.33, d = 2.855 Å, intensity 100; 2θ 34.63, d = 2.590 Å, intensity 43; 2θ 35.47, d = 2.531 Å, intensity 65; 2θ 37.33, d = 2.409 Å, intensity 45; 2θ 40.28, d = 2.239 Å, intensity 32; 2θ 41.92, d = 2.155 Å, intensity 29; 2θ 53.62, d = 1.709 Å, intensity 46; 2θ 61.56, d = 1.506 Å, intensity 31

Structural model:
```
HoPaCd
1.0
0.0000 4.1084 7.9393
2.6704 0.0000 7.9393
2.6704 4.1084 0.0000
Ho Pa Cd
2 2 2
Direct
0.0989 0.0989 0.9011
0.9011 0.9011 0.0989
0.2500 0.2500 0.2500
0.7500 0.7500 0.7500
0.3320 0.6680 0.3320
0.6680 0.3320 0.6680
```

No. 4
Ho5Cd2Pb: simulated powder X-ray diffraction pattern (Cu Kα, 1.54184 Å), based on a DFT-relaxed cell (PBE, Alexandria).
No peak broadening, texture or thermal motion is included.

Peak list (10 most intense, 2θ from 5° to 70°, in order of rising 2θ)
2θ 30.47, d = 2.934 Å, intensity 13; 2θ 31.33, d = 2.855 Å, intensity 23; 2θ 31.67, d = 2.825 Å, intensity 100; 2θ 34.17, d = 2.624 Å, intensity 70; 2θ 34.95, d = 2.568 Å, intensity 24; 2θ 41.40, d = 2.181 Å, intensity 13; 2θ 49.10, d = 1.856 Å, intensity 12; 2θ 54.71, d = 1.678 Å, intensity 19; 2θ 63.93, d = 1.456 Å, intensity 15; 2θ 64.10, d = 1.453 Å, intensity 19

Structural model:
```
Ho5Cd2Pb
1.0
-4.1493 4.1493 6.5368
4.1493 -4.1493 6.5368
4.1493 4.1493 -6.5368
Ho Cd Pb
10 4 2
Direct
0.0000 0.0000 0.0000
0.0030 0.5030 0.8079
0.1951 0.0030 0.5000
0.3049 0.8049 0.8079
0.4970 0.3049 0.5000
0.5000 0.5000 0.0000
0.5030 0.6951 0.5000
0.6951 0.1951 0.1921
0.8049 0.9970 0.5000
0.9970 0.4970 0.1921
0.1374 0.3626 0.5000
0.3626 0.8626 0.2251
0.6374 0.1374 0.7749
0.8626 0.6374 0.5000
0.2500 0.2500 0.0000
0.7500 0.7500 0.0000
```

No. 5
HoCd11Pd: simulated powder X-ray diffraction pattern (Cu Kα, 1.54184 Å), based on a DFT-relaxed cell (PBE, Alexandria).
No peak broadening, texture or thermal motion is included.

Peak list (10 most intense, 2θ from 5° to 70°, in order of rising 2θ)
2θ 31.06, d = 2.880 Å, intensity 42; 2θ 31.15, d = 2.871 Å, intensity 24; 2θ 35.96, d = 2.498 Å, intensity 80; 2θ 36.09, d = 2.489 Å, intensity 100; 2θ 36.17, d = 2.484 Å, intensity 25; 2θ 36.28, d = 2.476 Å, intensity 29; 2θ 40.41, d = 2.232 Å, intensity 74; 2θ 40.62, d = 2.221 Å, intensity 21; 2θ 58.47, d = 1.578 Å, intensity 20; 2θ 64.67, d = 1.441 Å, intensity 23

Structural model:
```
HoCd11Pd
1.0
2.8820 -7.0697 0.0000
2.8820 7.0697 0.0000
-2.8551 0.0000 7.0018
Ho Cd Pd
1 11 1
Direct
0.0000 0.0000 0.0000
0.0000 0.5000 0.0000
0.0046 0.6644 0.6452
0.2805 0.4878 0.7867
0.3356 0.9954 0.3548
0.4878 0.2805 0.7867
0.5000 0.0000 0.0000
0.5000 0.5000 0.5000
0.5122 0.7195 0.2133
0.6644 0.0046 0.6452
0.7195 0.5122 0.2133
0.9954 0.3356 0.3548
0.0000 0.0000 0.5000
```

No. 6
Ho3Cd3Pd2: simulated powder X-ray diffraction pattern (Cu Kα, 1.54184 Å), based on a DFT-relaxed cell (PBE, Alexandria).
No peak broadening, texture or thermal motion is included.

Peak list (10 most intense, 2θ from 5° to 70°, in order of rising 2θ)
2θ 27.63, d = 3.229 Å, intensity 12; 2θ 33.81, d = 2.651 Å, intensity 100; 2θ 36.19, d = 2.482 Å, intensity 74; 2θ 36.55, d = 2.458 Å, intensity 67; 2θ 41.24, d = 2.189 Å, intensity 13; 2θ 49.14, d = 1.854 Å, intensity 18; 2θ 50.08, d = 1.821 Å, intensity 16; 2θ 56.27, d = 1.635 Å, intensity 31; 2θ 62.53, d = 1.485 Å, intensity 29; 2θ 67.05, d = 1.396 Å, intensity 16

Structural model:
```
Ho3Cd3Pd2
1.0
7.5831 0.0000 0.0000
-3.7915 6.5671 0.0000
0.0000 0.0000 3.7081
Ho Cd Pd
3 3 2
Direct
0.0000 0.5819 0.0000
0.4181 0.4181 0.0000
0.5819 0.0000 0.0000
0.0000 0.2293 0.5000
0.2293 0.0000 0.5000
0.7707 0.7707 0.5000
0.3333 0.6667 0.5000
0.6667 0.3333 0.5000
```